Starting from the PBE geometry in the Materials Project, the powder XRD pattern of YThRe4 was computed for Cu Kα, 1.54184 Å.

```
YThRe4
1.0
5.4110 0.0000 0.0000
-2.7055 4.6861 0.0000
0.0000 0.0000 9.1851
Y Th Re
2 2 8
direct
0.3333 0.6667 0.0628 Y
0.6667 0.3333 0.9372 Y
0.3333 0.6667 0.4398 Th
0.6667 0.3333 0.5602 Th
0.0000 0.0000 0.0000 Re
0.0000 0.0000 0.5000 Re
0.1700 0.3399 0.7577 Re
0.1700 0.8300 0.7577 Re
0.3399 0.1700 0.2423 Re
0.6601 0.8300 0.7577 Re
0.8300 0.1700 0.2423 Re
0.8300 0.6601 0.2423 Re
```

Peak list (6 most intense, 10° ≤ 2θ ≤ 90°, by angle)
2θ (°), Rel. int., hkl
35.01, 64, 0 1 3
38.62, 100, 1 1 2
39.70, 89, 2 0 1
60.39, 28, 0 0 6
64.45, 34, 0 2 5
69.49, 28, 2 2 0